[1]
# Nd3Zn8
Computed X-ray powder pattern, Cu Kα, 1.54184 Å. Input: a cell relaxed with PBE.
Lines closer than 0.1° are merged.

Structure:
```
data_Nd3Zn8
_chemical_formula_sum 'Nd6 Zn16'
_symmetry_space_group_name_H-M 'I m m m'
_symmetry_Int_Tables_number 71
_symmetry_space_group_name_Hall '-I 2 2'
_cell_length_a 3.9841
_cell_length_b 4.4051
_cell_length_c 26.3719
_cell_angle_alpha 90.00
_cell_angle_beta 90.00
_cell_angle_gamma 90.00
loop_
_atom_site_label
_atom_site_fract_x
_atom_site_fract_y
_atom_site_fract_z
Nd1 0.0000 0.0000 0.0000
Nd2 0.0000 0.5000 0.1494
Zn1 0.0000 0.0000 0.2528
Zn2 0.0000 0.0000 0.4510
Zn3 0.0000 0.5000 0.3074
Zn4 0.0000 0.5000 0.4032
```

Principal peaks in the range 10° ≤ 2θ ≤ 80°, sorted by position:
hkl 1 1 2, d = 2.883 Å, rel. 19
hkl 1 0 7, d = 2.737 Å, rel. 52
hkl 1 1 4, d = 2.696 Å, rel. 100
hkl 0 1 9, d = 2.440 Å, rel. 22
hkl 0 2 0, d = 2.202 Å, rel. 39
hkl 0 1 11, d = 2.106 Å, rel. 29
hkl 2 0 0, d = 1.992 Å, rel. 24
hkl 1 2 7, d = 1.716 Å, rel. 27


[2]
# Sc6TlZn5
Computed X-ray powder pattern, Cu Kα, 1.54184 Å. Input: a cell relaxed with PBE.
Lines closer than 0.1° are merged.

Structure:
```
data_Sc6TlZn5
_chemical_formula_sum 'Sc12 Tl2 Zn10'
_symmetry_space_group_name_H-M 'C m m m'
_symmetry_Int_Tables_number 65
_symmetry_space_group_name_Hall '-C 2 2'
_cell_length_a 4.7831
_cell_length_b 14.3868
_cell_length_c 6.8241
_cell_angle_alpha 90.00
_cell_angle_beta 90.00
_cell_angle_gamma 90.00
loop_
_atom_site_label
_atom_site_fract_x
_atom_site_fract_y
_atom_site_fract_z
Sc1 0.0000 0.0000 0.2372
Sc2 0.0000 0.3285 0.2420
Tl1 0.0000 0.5000 0.5000
Zn1 0.0000 0.1653 0.0000
Zn2 0.0000 0.1705 0.5000
Zn3 0.0000 0.5000 0.0000
```

Principal peaks in the range 10° ≤ 2θ ≤ 80°, sorted by position:
hkl 1 3 0, d = 3.387 Å, rel. 12
hkl 1 3 2, d = 2.402 Å, rel. 100
hkl 2 0 0, d = 2.392 Å, rel. 20
hkl 2 6 0, d = 1.693 Å, rel. 13
hkl 2 0 4, d = 1.389 Å, rel. 13
hkl 1 9 2, d = 1.385 Å, rel. 13
hkl 3 3 2, d = 1.383 Å, rel. 13
hkl 2 6 4, d = 1.202 Å, rel. 8


[3]
# Tl4Pb5
Computed X-ray powder pattern, Cu Kα, 1.54184 Å. Input: a cell relaxed with PBE.
Lines closer than 0.1° are merged.

Structure:
```
data_Tl4Pb5
_chemical_formula_sum 'Tl8 Pb10'
_symmetry_space_group_name_H-M 'I 4/m m m'
_symmetry_Int_Tables_number 139
_symmetry_space_group_name_Hall '-I 4 2'
_cell_length_a 10.5130
_cell_length_b 10.5130
_cell_length_c 5.0954
_cell_angle_alpha 90.00
_cell_angle_beta 90.00
_cell_angle_gamma 90.00
loop_
_atom_site_label
_atom_site_fract_x
_atom_site_fract_y
_atom_site_fract_z
Tl1 0.1663 0.1663 0.0000
Pb1 0.0000 0.0000 0.5000
Pb2 0.0000 0.3363 0.5000
```

Principal peaks in the range 10° ≤ 2θ ≤ 80°, sorted by position:
hkl 3 0 1, d = 2.887 Å, rel. 100
hkl 0 0 2, d = 2.548 Å, rel. 18
hkl 3 3 0, d = 2.478 Å, rel. 33
hkl 3 3 2, d = 1.776 Å, rel. 25
hkl 6 0 0, d = 1.752 Å, rel. 12
hkl 3 0 3, d = 1.528 Å, rel. 15
hkl 6 3 1, d = 1.498 Å, rel. 29
hkl 6 0 2, d = 1.444 Å, rel. 13


[4]
# PrSmYMg
Computed X-ray powder pattern, Cu Kα, 1.54184 Å. Input: a cell relaxed with PBE.
Lines closer than 0.1° are merged.

Structure:
```
data_PrSmYMg
_chemical_formula_sum 'Pr1 Sm1 Y1 Mg1'
_symmetry_space_group_name_H-M 'P 4 m m'
_symmetry_Int_Tables_number 99
_cell_length_a 3.7081
_cell_length_b 3.7081
_cell_length_c 9.1387
_cell_angle_alpha 90.00
_cell_angle_beta 90.00
_cell_angle_gamma 90.00
loop_
_symmetry_equiv_pos_as_xyz
'x,y,z'
'-y,x,z'
'-x,-y,z'
'y,-x,z'
'-x,y,z'
'y,x,z'
'x,-y,z'
'-y,-x,z'
loop_
_atom_site_label
_atom_site_fract_x
_atom_site_fract_y
_atom_site_fract_z
Pr1 0.0000 0.0000 0.0000
Sm1 0.5000 0.5000 0.7231
Y1 0.5000 0.5000 0.2747
Mg1 0.0000 0.0000 0.4937
```

Principal peaks in the range 10° ≤ 2θ ≤ 80°, sorted by position:
hkl 1 0 1, d = 3.436 Å, rel. 28
hkl 1 0 2, d = 2.879 Å, rel. 100
hkl 1 1 0, d = 2.622 Å, rel. 41
hkl 0 0 4, d = 2.285 Å, rel. 11
hkl 1 1 3, d = 1.987 Å, rel. 12
hkl 2 0 0, d = 1.854 Å, rel. 15
hkl 1 1 4, d = 1.723 Å, rel. 18
hkl 2 1 2, d = 1.559 Å, rel. 31


[5]
# BaSrPrNbO6
Computed X-ray powder pattern, Cu Kα, 1.54184 Å. Input: a cell relaxed with PBE.
Lines closer than 0.1° are merged.

Structure:
```
data_BaSrPrNbO6
_chemical_formula_sum 'Ba2 Sr2 Pr2 Nb2 O12'
_symmetry_space_group_name_H-M 'P -1'
_symmetry_Int_Tables_number 2
_cell_length_a 6.0604
_cell_length_b 6.1246
_cell_length_c 8.6062
_cell_angle_alpha 89.62
_cell_angle_beta 89.47
_cell_angle_gamma 89.82
loop_
_symmetry_equiv_pos_as_xyz
'x,y,z'
'-x,-y,-z'
loop_
_atom_site_label
_atom_site_fract_x
_atom_site_fract_y
_atom_site_fract_z
Ba1 0.0066 0.0288 0.2496
Sr1 0.4896 0.5359 0.2491
Pr1 0.0000 0.5000 0.0000
Pr2 0.5000 0.0000 0.5000
Nb1 0.0000 0.5000 0.5000
Nb2 0.5000 0.0000 0.0000
O1 0.0911 0.5042 0.7284
O2 0.1974 0.7622 0.4599
O3 0.2325 0.8066 0.0303
O4 0.2633 0.3044 0.4484
O5 0.3142 0.2717 0.0513
O6 0.4312 0.0445 0.7711
```

Principal peaks in the range 10° ≤ 2θ ≤ 80°, sorted by position:
hkl 1 1 2, d = 3.063 Å, rel. 96
hkl -1 1 2, d = 3.042 Å, rel. 100
hkl 1 1 -2, d = 3.030 Å, rel. 94
hkl 2 2 0, d = 2.157 Å, rel. 27
hkl 0 0 4, d = 2.151 Å, rel. 52
hkl 2 0 4, d = 1.761 Å, rel. 41
hkl 0 2 -4, d = 1.755 Å, rel. 21
hkl -3 1 2, d = 1.746 Å, rel. 33


[6]
# Ac2Zn4In3Ag
Computed X-ray powder pattern, Cu Kα, 1.54184 Å. Input: a cell relaxed with PBE.
Lines closer than 0.1° are merged.

Structure:
```
data_Ac2Zn4In3Ag
_chemical_formula_sum 'Ac2 Zn4 In3 Ag1'
_symmetry_space_group_name_H-M 'P -4 m 2'
_symmetry_Int_Tables_number 115
_cell_length_a 4.6543
_cell_length_b 4.6543
_cell_length_c 11.0967
_cell_angle_alpha 90.00
_cell_angle_beta 90.00
_cell_angle_gamma 90.00
loop_
_symmetry_equiv_pos_as_xyz
'x,y,z'
'y,-x,-z'
'-x,-y,z'
'-y,x,-z'
'-x,y,z'
'-y,-x,-z'
'x,-y,z'
'y,x,-z'
loop_
_atom_site_label
_atom_site_fract_x
_atom_site_fract_y
_atom_site_fract_z
Ac1 0.0000 0.5000 0.2469
Zn1 0.0000 0.0000 0.0000
Zn2 0.0000 0.5000 0.6281
Zn3 0.5000 0.5000 0.0000
In1 0.0000 0.5000 0.8683
In2 0.5000 0.5000 0.5000
Ag1 0.0000 0.0000 0.5000
```

Principal peaks in the range 10° ≤ 2θ ≤ 80°, sorted by position:
hkl 1 1 0, d = 3.291 Å, rel. 21
hkl 1 0 3, d = 2.896 Å, rel. 70
hkl 1 1 2, d = 2.831 Å, rel. 100
hkl 2 0 0, d = 2.327 Å, rel. 58
hkl 1 0 5, d = 2.003 Å, rel. 29
hkl 2 1 3, d = 1.814 Å, rel. 36
hkl 2 1 5, d = 1.518 Å, rel. 24
hkl 3 1 2, d = 1.423 Å, rel. 24